Record 1
Starting from a GGA-PBE-relaxed structure, the powder XRD pattern of Na8B13C3 was computed for copper Kα.

Main lines, by angle (10° ≤ 2θ ≤ 90°):
| d_spacing | intensity | hkl |
| --- | --- | --- |
| 2.562 | 22 | 1 1 -2 |
| 2.205 | 100 | 3 1 2 |
| 2.186 | 56 | 4 2 0 |
| 2.163 | 38 | 8 0 0 |
| 1.468 | 18 | 1 3 -2 |
| 1.215 | 17 | 7 3 2 |

Structure:
Unit cell a=17.559 b=5.067 c=5.939 alpha=90.00 beta=99.72 gamma=90.00
Space group C2 (No. 5)
Asymmetric unit:
Na  0.124  0.000  0.062 [4 per cell]
Na  0.125  0.499  0.313 [4 per cell]
Na  0.125  0.499  0.812 [4 per cell]
Na  0.125  0.998  0.562 [4 per cell]
B  0.000  0.167  0.252 [4 per cell]
B  0.000  0.328  0.000 [2 per cell]
B  0.000  0.349  0.500 [2 per cell]
B  0.000  0.680  0.000 [2 per cell]
B  0.000  0.815  0.263 [4 per cell]
B  0.250  0.163  0.385 [4 per cell]
B  0.250  0.194  0.859 [4 per cell]
B  0.250  0.317  0.123 [4 per cell]
C  0.000  0.670  0.500 [2 per cell]
C  0.250  0.323  0.618 [4 per cell]

---

Record 2
Starting from a GGA-PBE-relaxed structure, the powder XRD pattern of Ca11In9Pt4 was computed for copper Kα.

Main lines, by angle (10° ≤ 2θ ≤ 90°):
| d_spacing | intensity | hkl |
| --- | --- | --- |
| 3.818 | 79 | 0 0 1 |
| 2.662 | 100 | 0 6 1 |
| 2.649 | 95 | 4 0 1 |
| 2.613 | 85 | 4 6 0 |
| 2.157 | 40 | 4 6 1 |
| 1.910 | 54 | 0 0 2 |

Structure:
Unit cell a=14.715 b=22.275 c=3.818 alpha=90.00 beta=90.00 gamma=90.00
Space group Cmmm (No. 65)
Asymmetric unit:
Ca  0.000  0.000  0.000 [2 per cell]
Ca  0.000  0.162  0.000 [4 per cell]
Ca  0.000  0.372  0.000 [4 per cell]
Ca  0.192  0.500  0.000 [4 per cell]
Ca  0.245  0.171  0.000 [8 per cell]
In  0.000  0.500  0.500 [2 per cell]
In  0.103  0.265  0.500 [8 per cell]
In  0.149  0.071  0.500 [8 per cell]
Pt  0.151  0.400  0.500 [8 per cell]

---

Record 3
Starting from a GGA-PBE-relaxed structure, the powder XRD pattern of NdSmBiAs was computed for copper Kα.

Main lines, by angle (10° ≤ 2θ ≤ 90°):
| d_spacing | intensity | hkl |
| --- | --- | --- |
| 3.118 | 100 | 1 0 4 |
| 2.220 | 37 | 0 1 8 |
| 2.191 | 38 | 1 1 0 |
| 1.792 | 21 | 0 2 4 |
| 1.402 | 16 | 1 1 12 |
| 1.387 | 18 | 2 1 4 |

Structure:
Unit cell a=4.3811 b=4.3811 c=21.8958 alpha=90.00 beta=90.00 gamma=120.00
Space group R3m (No. 160, hexagonal axes)
Asymmetric unit:
Nd  0.0000  0.0000  0.0000 [3 per cell]
Sm  0.0000  0.0000  0.4851 [3 per cell]
Bi  0.0000  0.0000  0.2414 [3 per cell]
As  0.0000  0.0000  0.7436 [3 per cell]